# 1
SnAuI4: computed X-ray diffraction stick pattern (Cu Kα (λ = 1.5418 Å)), based on a cell relaxed with GGA-PBE.
Intensities are scaled so that the largest is 100.

Cell and atoms:
Unit cell a=6.4797 b=6.4797 c=12.7671 alpha=90.00 beta=90.00 gamma=90.00
Fractional positions:
Sn  0.0000  0.0000  0.0000
Sn  0.0000  0.0000  0.5000
Au  0.0000  0.5000  0.2500
Au  0.5000  0.0000  0.7500
I  0.2586  0.2680  0.8710
I  0.2586  0.7320  0.6290
I  0.2680  0.2586  0.3710
I  0.2680  0.7414  0.1290
I  0.7320  0.2586  0.1290
I  0.7320  0.7414  0.3710
I  0.7414  0.2680  0.6290
I  0.7414  0.7320  0.8710

Most intense lines, 10° ≤ 2θ ≤ 90°, by angle:
2θ 15.33, I 26.7
2θ 23.91, I 100.0
2θ 25.03, I 10.8
2θ 31.66, I 12.3
2θ 39.33, I 25.2
2θ 39.64, I 49.9
2θ 46.55, I 31.9
2θ 47.10, I 17.3
2θ 62.98, I 14.5
2θ 71.51, I 16.4

=====

# 2
Tb2AuI: computed X-ray diffraction stick pattern (Cu Kα (λ = 1.5418 Å)), based on a cell relaxed with GGA-PBE.
Intensities are scaled so that the largest is 100.

Cell and atoms:
Unit cell a=8.4764 b=8.4764 c=8.4764 alpha=28.11 beta=28.11 gamma=28.11
Fractional positions:
Tb  0.0000  0.0000  0.0000
Tb  0.1984  0.1984  0.1984
Au  0.5983  0.5983  0.5983
I  0.7670  0.7670  0.7670

Most intense lines, 10° ≤ 2θ ≤ 90°, by angle:
2θ 10.87, I 27.3
2θ 26.03, I 29.4
2θ 29.00, I 9.0
2θ 31.06, I 100.0
2θ 36.02, I 27.7
2θ 43.98, I 45.3
2θ 45.01, I 23.5
2θ 54.81, I 20.3
2θ 64.39, I 13.8
2θ 72.79, I 17.5

=====

# 3
Tb3AuI3: computed X-ray diffraction stick pattern (Cu Kα (λ = 1.5418 Å)), based on a cell relaxed with GGA-PBE.
Intensities are scaled so that the largest is 100.

Cell and atoms:
Unit cell a=10.7130 b=10.7130 c=10.7130 alpha=109.47 beta=109.47 gamma=109.47
Fractional positions:
Tb  0.0196  0.0392  0.2696
Tb  0.0196  0.4804  0.7500
Tb  0.0392  0.2696  0.0196
Tb  0.2304  0.2696  0.7500
Tb  0.2304  0.4608  0.4804
Tb  0.2696  0.0196  0.0392
Tb  0.2696  0.7500  0.2304
Tb  0.4608  0.4804  0.2304
Tb  0.4804  0.2304  0.4608
Tb  0.4804  0.7500  0.0196
Tb  0.7500  0.0196  0.4804
Tb  0.7500  0.2304  0.2696
Au  0.0000  0.2500  0.5000
Au  0.2500  0.2500  0.2500
Au  0.2500  0.5000  0.0000
Au  0.5000  0.0000  0.2500
I  0.2500  0.7568  0.7432
I  0.2500  0.9932  0.5068
I  0.5068  0.2500  0.9932
I  0.5068  0.7568  0.5136
I  0.5136  0.5068  0.7568
I  0.7432  0.2500  0.7568
I  0.7432  0.9932  0.9864
I  0.7568  0.5136  0.5068
I  0.7568  0.7432  0.2500
I  0.9864  0.7432  0.9932
I  0.9932  0.5068  0.2500
I  0.9932  0.9864  0.7432

Most intense lines, 10° ≤ 2θ ≤ 90°, by angle:
2θ 10.11, I 41.4
2θ 26.97, I 7.7
2θ 28.87, I 100.0
2θ 37.06, I 9.7
2θ 41.28, I 70.4
2θ 51.16, I 23.3
2θ 54.51, I 8.1
2θ 59.81, I 10.0
2θ 67.75, I 25.6
2θ 75.27, I 17.7

=====

# 4
Te3AuI: computed X-ray diffraction stick pattern (Cu Kα (λ = 1.5418 Å)), based on a cell relaxed with GGA-PBE.
Intensities are scaled so that the largest is 100.

Cell and atoms:
Unit cell a=7.2896 b=6.4945 c=7.2940 alpha=90.00 beta=90.05 gamma=90.00
Fractional positions:
Te  0.0000  0.0139  0.2500
Te  0.0000  0.9861  0.7500
Te  0.2413  0.3375  0.7502
Te  0.2413  0.6625  0.2502
Te  0.7587  0.3375  0.7498
Te  0.7587  0.6625  0.2498
Au  0.0000  0.5000  0.0000
Au  0.0000  0.5000  0.5000
I  0.5000  0.2498  0.2500
I  0.5000  0.7502  0.7500

Most intense lines, 10° ≤ 2θ ≤ 90°, by angle:
2θ 12.14, I 42.0
2θ 13.63, I 31.0
2θ 24.41, I 26.9
2θ 30.13, I 60.4
2θ 30.68, I 100.0
2θ 37.07, I 28.3
2θ 37.54, I 54.1
2θ 47.06, I 33.1
2θ 48.93, I 26.5
2θ 50.03, I 27.9

=====

# 5
TeAu3I9: computed X-ray diffraction stick pattern (Cu Kα (λ = 1.5418 Å)), based on a cell relaxed with GGA-PBE.
Intensities are scaled so that the largest is 100.

Cell and atoms:
Unit cell a=12.4049 b=12.4049 c=13.1752 alpha=121.79 beta=121.79 gamma=45.60
Fractional positions:
Te  0.2367  0.7633  0.5000
Te  0.7633  0.2367  0.0000
Au  0.3107  0.5879  0.8055
Au  0.3991  0.8899  0.3801
Au  0.5879  0.3107  0.3055
Au  0.6094  0.8997  0.2405
Au  0.8899  0.3991  0.8801
Au  0.8997  0.6094  0.7405
I  0.0515  0.0937  0.5695
I  0.0937  0.0515  0.0695
I  0.1843  0.8140  0.7262
I  0.2126  0.2252  0.4797
I  0.2252  0.2126  0.9797
I  0.2668  0.7466  0.2733
I  0.3969  0.4060  0.9131
I  0.4060  0.3969  0.4131
I  0.5321  0.9299  0.0252
I  0.5420  0.7163  0.6392
I  0.6001  0.9476  0.4579
I  0.7163  0.5420  0.1392
I  0.7466  0.2668  0.7733
I  0.7653  0.9504  0.8311
I  0.8140  0.1843  0.2262
I  0.9299  0.5321  0.5252
I  0.9476  0.6001  0.9579
I  0.9504  0.7653  0.3311

Most intense lines, 10° ≤ 2θ ≤ 90°, by angle:
2θ 14.78, I 100.0
2θ 16.95, I 59.1
2θ 22.14, I 39.3
2θ 22.90, I 50.1
2θ 24.32, I 70.5
2θ 27.07, I 64.1
2θ 28.25, I 34.3
2θ 30.84, I 38.1
2θ 34.24, I 39.1
2θ 36.58, I 34.6

=====

# 6
ThAu2I6: computed X-ray diffraction stick pattern (Cu Kα (λ = 1.5418 Å)), based on a cell relaxed with GGA-PBE.
Intensities are scaled so that the largest is 100.

Cell and atoms:
Unit cell a=11.1482 b=11.1482 c=7.6953 alpha=96.30 beta=96.30 gamma=92.44
Fractional positions:
Th  0.0876  0.9124  0.7500
Th  0.9124  0.0876  0.2500
Au  0.3998  0.4012  0.7106
Au  0.4012  0.3998  0.2106
Au  0.5988  0.6002  0.7894
Au  0.6002  0.5988  0.2894
I  0.0520  0.1759  0.6197
I  0.0820  0.6673  0.8597
I  0.1759  0.0520  0.1197
I  0.2794  0.4961  0.4552
I  0.3327  0.9180  0.6403
I  0.4961  0.2794  0.9552
I  0.5039  0.7206  0.0448
I  0.6673  0.0820  0.3597
I  0.7206  0.5039  0.5448
I  0.8241  0.9480  0.8803
I  0.9180  0.3327  0.1403
I  0.9480  0.8241  0.3803

Most intense lines, 10° ≤ 2θ ≤ 90°, by angle:
2θ 10.99, I 100.0
2θ 11.62, I 61.4
2θ 16.03, I 43.4
2θ 20.92, I 27.4
2θ 23.37, I 61.1
2θ 25.61, I 91.2
2θ 26.88, I 31.9
2θ 27.86, I 26.3
2θ 36.45, I 38.7
2θ 39.63, I 26.3

=====

# 7
Ti3AuI: computed X-ray diffraction stick pattern (Cu Kα (λ = 1.5418 Å)), based on a cell relaxed with GGA-PBE.
Intensities are scaled so that the largest is 100.

Cell and atoms:
Unit cell a=5.0386 b=5.0386 c=5.0386 alpha=90.00 beta=90.00 gamma=90.00
Fractional positions:
Ti  0.0000  0.0000  0.5000
Ti  0.0000  0.5000  0.0000
Ti  0.5000  0.0000  0.0000
Au  0.0000  0.0000  0.0000
I  0.5000  0.5000  0.5000

Most intense lines, 10° ≤ 2θ ≤ 90°, by angle:
2θ 17.60, I 21.1
2θ 24.99, I 100.0
2θ 35.64, I 57.8
2θ 44.02, I 45.6
2θ 51.29, I 39.8
2θ 57.87, I 20.6
2θ 64.01, I 13.4
2θ 69.85, I 23.9
2θ 80.95, I 12.3
2θ 86.35, I 17.9

=====

# 8
TiAuI6: computed X-ray diffraction stick pattern (Cu Kα (λ = 1.5418 Å)), based on a cell relaxed with GGA-PBE.
Intensities are scaled so that the largest is 100.

Cell and atoms:
Unit cell a=7.3560 b=7.3560 c=7.8465 alpha=104.97 beta=104.97 gamma=115.90
Fractional positions:
Ti  0.0000  0.0000  0.0000
Au  0.0000  0.0000  0.5000
I  0.1543  0.8348  0.2515
I  0.1652  0.8457  0.7485
I  0.3923  0.3923  0.1965
I  0.6077  0.6077  0.8035
I  0.8348  0.1543  0.2515
I  0.8457  0.1652  0.7485

Most intense lines, 10° ≤ 2θ ≤ 90°, by angle:
2θ 14.21, I 27.0
2θ 14.81, I 62.3
2θ 23.55, I 26.2
2θ 25.09, I 36.7
2θ 26.14, I 52.0
2θ 31.36, I 100.0
2θ 40.33, I 19.9
2θ 40.98, I 30.9
2θ 41.54, I 29.3
2θ 51.48, I 19.8